Record 1
SmDyCo4O12: calculated PXRD pattern (a wavelength of 1.5418 Å), based on a cell relaxed with GGA+U.

Structure:
Cell: 5.247 5.247 7.490 Å, 90.00 90.00 90.00°
Fractional coordinates of all 18 atoms:
Sm (0.000, 0.000, 0.000)
Dy (0.500, 0.500, 0.500)
Co (0.000, 0.500, 0.250)
Co (0.000, 0.500, 0.750)
Co (0.500, 0.000, 0.250)
Co (0.500, 0.000, 0.750)
O (0.000, 0.500, 0.000)
O (0.000, 0.500, 0.500)
O (0.252, 0.252, 0.253)
O (0.252, 0.252, 0.747)
O (0.252, 0.748, 0.253)
O (0.252, 0.748, 0.747)
O (0.500, 0.000, 0.000)
O (0.500, 0.000, 0.500)
O (0.748, 0.252, 0.253)
O (0.748, 0.252, 0.747)
O (0.748, 0.748, 0.253)
O (0.748, 0.748, 0.747)

Peak list (10 most intense, 10 to 90 degrees two-theta, by intensity)
2θ = 20.67°, I 100.0, (1 0 1); 2θ = 34.01°, I 72.1, (1 1 2); 2θ = 40.28°, I 36.0, (2 1 1); 2θ = 34.18°, I 35.6, (2 0 0); 2θ = 49.11°, I 28.1, (2 2 0); 2θ = 61.09°, I 26.8, (3 1 2); 2θ = 39.99°, I 18.3, (1 0 3); 2θ = 71.60°, I 16.1, (2 2 4); 2θ = 53.60°, I 15.7, (2 1 3); 2θ = 48.62°, I 14.5, (0 0 4)

Record 2
Sr2NiIrO6: calculated PXRD pattern (a wavelength of 1.5418 Å), based on a cell relaxed with GGA+U.

Structure:
Cell: 5.633 5.633 7.958 Å, 90.00 90.00 90.00°
Fractional coordinates of all 20 atoms:
Sr (0.250, 0.750, 0.000)
Sr (0.250, 0.750, 0.500)
Sr (0.750, 0.250, 0.000)
Sr (0.750, 0.250, 0.500)
Ni (0.250, 0.250, 0.248)
Ni (0.750, 0.750, 0.752)
Ir (0.250, 0.250, 0.748)
Ir (0.750, 0.750, 0.252)
O (0.006, 0.006, 0.749)
O (0.006, 0.494, 0.749)
O (0.250, 0.250, 0.505)
O (0.250, 0.250, 0.993)
O (0.494, 0.006, 0.749)
O (0.494, 0.494, 0.749)
O (0.506, 0.506, 0.251)
O (0.506, 0.994, 0.251)
O (0.750, 0.750, 0.007)
O (0.750, 0.750, 0.495)
O (0.994, 0.506, 0.251)
O (0.994, 0.994, 0.251)

Peak list (10 most intense, 10 to 90 degrees two-theta, by intensity)
2θ = 31.78°, I 100.0, (2 0 0); 2θ = 56.62°, I 39.5, (3 1 2); 2θ = 45.56°, I 31.7, (2 2 0); 2θ = 19.31°, I 22.6, (1 0 1); 2θ = 66.41°, I 19.1, (4 0 0); 2θ = 75.51°, I 17.2, (4 2 0); 2θ = 37.46°, I 12.2, (2 1 1); 2θ = 22.33°, I 9.8, (1 1 0); 2θ = 84.24°, I 6.5, (4 0 4); 2θ = 49.92°, I 5.3, (3 0 1)

Record 3
CaBiMoO5: calculated PXRD pattern (a wavelength of 1.5418 Å), based on a cell relaxed with GGA+U.

Structure:
Cell: 5.823 12.058 8.787 Å, 90.00 110.36 90.00°
Fractional coordinates of all 32 atoms:
Ca (0.060, 0.085, 0.183)
Ca (0.060, 0.415, 0.683)
Ca (0.940, 0.585, 0.317)
Ca (0.940, 0.915, 0.817)
Bi (0.468, 0.102, 0.856)
Bi (0.468, 0.398, 0.356)
Bi (0.532, 0.602, 0.644)
Bi (0.532, 0.898, 0.144)
Mo (0.316, 0.639, 0.024)
Mo (0.316, 0.861, 0.524)
Mo (0.684, 0.139, 0.476)
Mo (0.684, 0.361, 0.976)
O (0.208, 0.709, 0.493)
O (0.208, 0.791, 0.993)
O (0.210, 0.567, 0.169)
O (0.210, 0.933, 0.669)
O (0.272, 0.028, 0.012)
O (0.272, 0.472, 0.512)
O (0.286, 0.574, 0.828)
O (0.286, 0.926, 0.328)
O (0.363, 0.191, 0.368)
O (0.363, 0.309, 0.868)
O (0.637, 0.691, 0.132)
O (0.637, 0.809, 0.632)
O (0.714, 0.074, 0.672)
O (0.714, 0.426, 0.172)
O (0.728, 0.528, 0.488)
O (0.728, 0.972, 0.988)
O (0.790, 0.067, 0.331)
O (0.790, 0.433, 0.831)
O (0.792, 0.209, 0.007)
O (0.792, 0.291, 0.507)

Peak list (10 most intense, 10 to 90 degrees two-theta, by intensity)
2θ = 26.94°, I 100.0, (1 2 1); 2θ = 23.27°, I 87.1, (1 1 -2); 2θ = 16.24°, I 78.6, (1 0 0); 2θ = 31.43°, I 39.9, (1 3 -2); 2θ = 31.62°, I 34.4, (2 1 -1); 2θ = 22.81°, I 32.5, (0 1 2); 2θ = 29.63°, I 31.9, (0 4 0); 2θ = 41.11°, I 28.6, (2 2 1); 2θ = 33.95°, I 26.9, (1 4 0); 2θ = 18.23°, I 24.7, (0 2 1)

Record 4
MgFe6O8F4: calculated PXRD pattern (a wavelength of 1.5418 Å), based on a cell relaxed with GGA+U.

Structure:
Cell: 4.718 4.735 9.129 Å, 90.03 90.04 90.95°
Fractional coordinates of all 19 atoms:
Mg (0.000, 0.000, 0.000)
Fe (0.000, 0.498, 0.320)
Fe (0.000, 0.500, 0.999)
Fe (0.500, 0.000, 0.500)
Fe (0.500, 0.000, 0.804)
Fe (0.500, 0.999, 0.196)
Fe (0.999, 0.500, 0.678)
O (0.163, 0.276, 0.846)
O (0.164, 0.275, 0.153)
O (0.306, 0.779, 0.337)
O (0.307, 0.782, 0.662)
O (0.692, 0.218, 0.662)
O (0.694, 0.220, 0.337)
O (0.836, 0.724, 0.153)
O (0.836, 0.724, 0.846)
F (0.177, 0.300, 0.500)
F (0.344, 0.782, 0.000)
F (0.656, 0.217, 0.000)
F (0.822, 0.700, 0.500)

Peak list (10 most intense, 10 to 90 degrees two-theta, by intensity)
2θ = 35.08°, I 100.0, (0 1 3); 2θ = 26.45°, I 96.1, (1 -1 0); 2θ = 26.90°, I 88.3, (1 1 0); 2θ = 52.47°, I 64.1, (-1 2 3); 2θ = 52.96°, I 49.0, (1 2 3); 2θ = 66.99°, I 25.6, (3 0 -3); 2θ = 54.46°, I 20.6, (2 -2 0); 2θ = 55.45°, I 20.3, (2 2 0); 2θ = 38.16°, I 19.2, (2 0 0); 2θ = 40.24°, I 17.3, (1 1 3)

Record 5
Li7Mn5O12: calculated PXRD pattern (a wavelength of 1.5418 Å), based on a cell relaxed with GGA+U.

Structure:
Cell: 5.096 5.301 8.600 Å, 89.75 73.32 83.33°
Fractional coordinates of all 24 atoms:
Li (0.000, 0.000, 0.000)
Li (0.475, 0.253, 0.922)
Li (0.491, 0.264, 0.248)
Li (0.492, 0.248, 0.584)
Li (0.508, 0.752, 0.416)
Li (0.509, 0.736, 0.752)
Li (0.525, 0.747, 0.078)
Mn (0.000, 0.000, 0.330)
Mn (0.000, 0.000, 0.670)
Mn (0.000, 0.500, 0.500)
Mn (0.001, 0.500, 0.166)
Mn (0.999, 0.500, 0.834)
O (0.210, 0.161, 0.791)
O (0.217, 0.157, 0.137)
O (0.229, 0.602, 0.961)
O (0.232, 0.108, 0.461)
O (0.233, 0.607, 0.292)
O (0.233, 0.610, 0.630)
O (0.767, 0.390, 0.370)
O (0.767, 0.393, 0.708)
O (0.768, 0.892, 0.539)
O (0.771, 0.398, 0.039)
O (0.783, 0.843, 0.863)
O (0.790, 0.839, 0.209)

Peak list (10 most intense, 10 to 90 degrees two-theta, by intensity)
2θ = 18.31°, I 100.0, (1 0 0); 2θ = 40.94°, I 34.0, (1 -2 0); 2θ = 44.17°, I 27.6, (2 1 3); 2θ = 44.49°, I 26.8, (1 1 -3); 2θ = 61.94°, I 16.1, (0 3 -3); 2θ = 34.07°, I 15.8, (0 2 0); 2θ = 36.46°, I 11.4, (0 1 -3); 2θ = 36.25°, I 11.3, (1 1 3); 2θ = 10.74°, I 9.5, (0 0 1); 2θ = 63.88°, I 9.3, (3 2 0)

Record 6
BeCr2O4: calculated PXRD pattern (a wavelength of 1.5418 Å), based on a cell relaxed with GGA+U.

Structure:
Cell: 9.984 5.780 4.614 Å, 90.00 90.00 90.00°
Fractional coordinates of all 28 atoms:
Be (0.093, 0.250, 0.070)
Be (0.407, 0.750, 0.570)
Be (0.593, 0.250, 0.430)
Be (0.907, 0.750, 0.930)
Cr (0.000, 0.000, 0.500)
Cr (0.000, 0.500, 0.500)
Cr (0.231, 0.750, 0.003)
Cr (0.269, 0.250, 0.503)
Cr (0.500, 0.000, 0.000)
Cr (0.500, 0.500, 0.000)
Cr (0.731, 0.750, 0.497)
Cr (0.769, 0.250, 0.997)
O (0.060, 0.750, 0.773)
O (0.093, 0.250, 0.726)
O (0.163, 0.025, 0.240)
O (0.163, 0.475, 0.240)
O (0.337, 0.525, 0.740)
O (0.337, 0.975, 0.740)
O (0.407, 0.750, 0.226)
O (0.440, 0.250, 0.273)
O (0.560, 0.750, 0.727)
O (0.593, 0.250, 0.774)
O (0.663, 0.025, 0.260)
O (0.663, 0.475, 0.260)
O (0.837, 0.525, 0.760)
O (0.837, 0.975, 0.760)
O (0.907, 0.750, 0.274)
O (0.940, 0.250, 0.227)

Peak list (10 most intense, 10 to 90 degrees two-theta, by intensity)
2θ = 54.10°, I 100.0, (2 2 2); 2θ = 26.28°, I 93.8, (1 1 1); 2θ = 35.93°, I 52.4, (2 2 0); 2θ = 37.82°, I 50.6, (1 2 1); 2θ = 33.19°, I 50.4, (3 0 1); 2θ = 21.21°, I 48.5, (1 0 1); 2θ = 41.07°, I 37.1, (4 0 1); 2θ = 36.75°, I 35.2, (3 1 1); 2θ = 64.63°, I 23.5, (6 2 0); 2θ = 59.75°, I 17.8, (5 2 1)